For Sm4CI3Cl2, a structure optimized by DFT (GGA-PBE) gives the theoretical PXRD pattern in this record (CuKα).
Kinematic intensities with the Lorentz-polarization factor, no thermal factor.

Peak list (10 most intense, 15° ≤ 2θ ≤ 90°, by intensity)
2theta  intensity
30.3  100
30.8  31
44.1  20
27.8  19
20.7  18
43.3  17
35.2  16
55.9  16
45.5  13
33.6  11

Atomic structure:
```
Sm4CI3Cl2
1.0
8.9400 -1.9953 0.0000
8.9400 1.9953 0.0000
-1.9208 0.0000 8.5444
Sm C I Cl
4 1 3 2
Cartesian
-0.5216 0.0000 2.6351
5.5784 0.0000 3.6932
10.3808 0.0000 4.8512
16.4808 0.0000 5.9093
7.9796 0.0000 4.2722
1.4553 0.0000 7.2158
8.9400 0.0000 0.0000
14.5039 0.0000 1.3286
2.3525 0.0000 3.0496
13.6067 0.0000 5.4948
```

For Li4AlPd2Pb, a structure optimized by DFT (GGA-PBE) gives the theoretical PXRD pattern in this record (CuKα).
Kinematic intensities with the Lorentz-polarization factor, no thermal factor.

Peak list (10 most intense, 15° ≤ 2θ ≤ 90°, by intensity)
2theta  intensity
24.6  100
40.5  61
48.3  32
40.9  32
32.0  27
20.1  27
74.3  21
34.8  17
47.6  15
64.6  12

Atomic structure:
```
Li4AlPd2Pb
1.0
4.4101 0.0000 0.0000
0.0000 4.4101 0.0000
0.0000 0.0000 6.3521
Li Al Pd Pb
4 1 2 1
Cartesian
0.0000 0.0000 0.0000
0.0000 2.2051 1.4761
2.2051 0.0000 4.8760
2.2051 2.2051 3.1760
2.2051 2.2051 0.0000
0.0000 2.2051 4.9576
2.2051 0.0000 1.3945
0.0000 0.0000 3.1760
```

For YGaSiPt2, a structure optimized by DFT (GGA-PBE) gives the theoretical PXRD pattern in this record (CuKα).
Kinematic intensities with the Lorentz-polarization factor, no thermal factor.

Peak list (10 most intense, 15° ≤ 2θ ≤ 90°, by intensity)
2theta  intensity
35.0  100
43.4  55
46.7  37
31.5  36
27.5  27
25.8  24
33.7  22
74.2  22
49.2  21
63.0  18

Atomic structure:
```
YGaSiPt2
1.0
4.1714 0.0000 0.0000
0.0000 4.1714 0.0000
0.0000 0.0000 10.3418
Y Ga Si Pt
2 2 2 4
Cartesian
1.0428 1.0428 2.5841
3.1285 3.1285 7.7577
1.0428 3.1285 0.0000
3.1285 1.0428 0.0000
1.0428 1.0428 6.5046
3.1285 3.1285 3.8372
1.0428 1.0428 8.8337
1.0428 3.1285 5.1709
3.1285 1.0428 5.1709
3.1285 3.1285 1.5081
```

For LiNi4P2, a structure optimized by DFT (GGA-PBE) gives the theoretical PXRD pattern in this record (CuKα).
Kinematic intensities with the Lorentz-polarization factor, no thermal factor.

Peak list (10 most intense, 15° ≤ 2θ ≤ 90°, by intensity)
2theta  intensity
18.2  100
49.2  70
38.9  67
45.3  53
55.1  32
51.9  29
41.5  26
47.3  25
79.1  20
28.5  20

Atomic structure:
```
LiNi4P2
1.0
6.8762 0.0000 0.0000
0.0000 6.8762 0.0000
0.0000 0.0000 3.5232
Li Ni P
2 8 4
Cartesian
0.0000 0.0000 0.0000
3.4381 3.4381 1.7616
0.5130 2.2533 1.7616
1.1848 3.9511 0.0000
2.2533 0.5130 1.7616
2.9251 5.6914 0.0000
3.9511 1.1848 0.0000
4.6229 6.3632 1.7616
5.6914 2.9251 0.0000
6.3632 4.6229 1.7616
1.6143 5.2619 1.7616
1.8238 1.8238 0.0000
5.0524 5.0524 0.0000
5.2619 1.6143 1.7616
```

For PrNb3O9, a structure optimized by DFT (GGA-PBE) gives the theoretical PXRD pattern in this record (CuKα).
Kinematic intensities with the Lorentz-polarization factor, no thermal factor.

Peak list (10 most intense, 15° ≤ 2θ ≤ 90°, by intensity)
2theta  intensity
26.8  100
27.7  86
31.0  81
28.8  61
33.1  56
30.6  54
25.9  44
48.1  44
56.4  38
23.5  34

Atomic structure:
```
PrNb3O9
1.0
5.4107 0.0000 0.0000
0.0000 7.5640 0.0000
-0.2910 0.0000 8.2261
Pr Nb O
2 6 18
Cartesian
0.0498 1.8910 3.5892
5.0699 5.6730 4.6369
0.0000 0.0000 0.0000
0.0000 3.7820 0.0000
2.3745 0.0661 5.7760
2.3745 3.7159 5.7760
2.7452 3.8481 2.4500
2.7452 7.4979 2.4500
0.2339 1.8910 8.0687
0.5638 4.2305 6.4504
0.5638 7.1155 6.4504
1.2967 4.0854 3.8063
1.2967 7.2606 3.8063
1.7265 4.2082 0.9479
1.7265 7.1378 0.9479
1.6563 1.8910 5.4356
2.2860 1.8910 2.5261
2.8337 5.6730 5.7000
3.4634 5.6730 2.7905
3.3932 0.4262 7.2782
3.3932 3.3558 7.2782
3.8230 0.3034 4.4198
3.8230 3.4786 4.4198
4.5559 0.4485 1.7757
4.5559 3.3335 1.7757
4.8858 5.6730 0.1574
```

For Cs2TcSe3, a structure optimized by DFT (GGA-PBE) gives the theoretical PXRD pattern in this record (CuKα).
Kinematic intensities with the Lorentz-polarization factor, no thermal factor.

Peak list (10 most intense, 15° ≤ 2θ ≤ 90°, by intensity)
2theta  intensity
26.6  100
35.1  45
28.6  44
22.5  34
32.1  22
46.4  22
26.1  16
46.0  14
43.4  14
51.2  13

Atomic structure:
```
Cs2TcSe3
1.0
6.2821 -4.8359 0.0000
6.2821 4.8359 0.0000
0.0000 0.0000 6.8289
Cs Tc Se
4 2 6
Cartesian
4.2899 3.1771 5.1217
8.2742 3.1771 5.1217
4.2899 -3.1771 1.7072
8.2742 -3.1771 1.7072
6.2821 0.9512 1.7072
6.2821 -0.9512 5.1217
6.2821 3.3238 1.7072
4.7585 0.0000 0.0000
4.7585 0.0000 3.4145
7.8056 0.0000 0.0000
7.8056 0.0000 3.4145
6.2821 -3.3238 5.1217
```

For TmLuNi2, a structure optimized by DFT (GGA-PBE) gives the theoretical PXRD pattern in this record (CuKα).
Kinematic intensities with the Lorentz-polarization factor, no thermal factor.

Peak list (10 most intense, 15° ≤ 2θ ≤ 90°, by intensity)
2theta  intensity
34.0  100
36.1  93
30.4  90
38.1  84
42.5  76
44.3  51
58.4  49
42.8  44
27.5  41
58.1  32

Atomic structure:
```
TmLuNi2
1.0
4.0867 0.0000 0.0000
0.0000 5.3373 0.0000
0.0000 0.0000 6.9031
Tm Lu Ni
2 2 4
Cartesian
0.0000 0.6314 0.0000
0.0000 4.7058 3.4516
2.0433 2.0404 4.4216
2.0433 3.2968 0.9700
0.0000 2.0213 2.4724
0.0000 3.3160 5.9240
2.0433 0.6587 1.9574
2.0433 4.6786 5.4090
```

For BaReH9, a structure optimized by DFT (GGA-PBE) gives the theoretical PXRD pattern in this record (CuKα).
Kinematic intensities with the Lorentz-polarization factor, no thermal factor.

Peak list (10 most intense, 15° ≤ 2θ ≤ 90°, by intensity)
2theta  intensity
22.3  100
28.0  92
27.7  62
34.7  57
21.9  41
35.4  38
53.3  33
45.5  33
35.6  29
39.1  21

Atomic structure:
```
BaReH9
1.0
2.5366 -4.5092 0.0000
2.5366 4.5092 0.0000
0.0000 0.0000 9.2097
Ba Re H
2 2 18
Cartesian
0.0000 0.0000 0.0000
0.0000 0.0000 4.6049
2.5366 1.5939 6.9073
2.5366 -1.5939 2.3024
1.2832 2.2246 5.9261
1.2832 2.2246 7.8885
2.5366 3.2702 6.9073
1.3916 0.3197 6.9073
1.3916 -0.3197 2.3024
2.5366 0.8577 5.3825
2.5366 0.8577 8.4321
1.2832 -2.2246 1.3212
1.2832 -2.2246 3.2836
3.7900 2.2246 5.9261
3.7900 2.2246 7.8885
2.5366 -0.8577 0.7776
2.5366 -0.8577 3.8273
3.6816 0.3197 6.9073
3.6816 -0.3197 2.3024
2.5366 -3.2702 2.3024
3.7900 -2.2246 1.3212
3.7900 -2.2246 3.2836
```

For GdYCu2Bi4, a structure optimized by DFT (GGA-PBE) gives the theoretical PXRD pattern in this record (CuKα).
Kinematic intensities with the Lorentz-polarization factor, no thermal factor.

Peak list (10 most intense, 15° ≤ 2θ ≤ 90°, by intensity)
2theta  intensity
33.5  100
39.6  49
29.3  36
68.0  26
27.7  24
49.0  20
26.9  18
55.4  16
57.3  16
47.0  11

Atomic structure:
```
GdYCu2Bi4
1.0
4.5485 0.0000 0.0000
0.0000 4.5485 0.0000
0.0000 0.0000 9.6729
Gd Y Cu Bi
1 1 2 4
Cartesian
0.0000 0.0000 0.0000
2.2742 2.2742 5.1150
0.0000 2.2742 7.3859
2.2742 0.0000 7.3859
0.0000 0.0000 5.7819
0.0000 2.2742 2.5627
2.2742 0.0000 2.5627
2.2742 2.2742 8.9960
```